No. 1
The following is a theoretical powder XRD pattern of ZnS. It was derived from a DFT-relaxed cell (PBE, the Materials Project), using copper Kα.
Kinematic intensities with the Lorentz-polarization factor, no thermal factor.

The 10 most intense peaks (10 to 90 degrees two-theta), most intense first:
Position (°2θ), I (rel.), hkl
47.19, 100.0, 1 1 0
28.79, 83.2, 1 0 3
28.31, 82.4, 0 0 8
26.96, 69.0, 1 0 1
55.95, 67.1, 1 1 8
30.31, 61.7, 1 0 4
51.39, 44.0, 1 0 12
48.16, 38.5, 1 0 11
27.66, 32.0, 1 0 2
32.17, 18.1, 1 0 5

Crystal structure
```
ZnS
1.0
3.852 0.000 0.000
-1.926 3.336 0.000
0.000 0.000 25.217
Zn S
8 8
Direct
0.000 0.000 0.000
0.000 0.000 0.250
0.000 0.000 0.500
0.333 0.667 0.625
0.333 0.667 0.875
0.667 0.333 0.125
0.667 0.333 0.375
0.667 0.333 0.750
0.000 0.000 0.094
0.000 0.000 0.344
0.000 0.000 0.594
0.333 0.667 0.719
0.333 0.667 0.969
0.667 0.333 0.219
0.667 0.333 0.469
0.667 0.333 0.844
```

***

No. 2
The following is a theoretical powder XRD pattern of ZnS. It was derived from a DFT-relaxed cell (PBE, the Materials Project), using copper Kα.
Kinematic intensities with the Lorentz-polarization factor, no thermal factor.

The 10 most intense peaks (10 to 90 degrees two-theta), most intense first:
Position (°2θ), I (rel.), hkl
28.51, 100.0, 0 1 9
47.20, 95.8, 1 1 0
28.36, 78.7, 0 0 26
56.00, 77.9, 1 1 26
28.14, 58.8, 0 1 8
47.49, 42.3, 0 1 35
46.53, 22.2, 0 1 34
32.67, 17.2, 1 0 17
27.82, 17.2, 1 0 7
55.60, 16.9, 1 0 43

Crystal structure
```
ZnS
1.0
3.851 0.000 0.000
-1.925 3.335 0.000
0.000 0.000 81.829
Zn S
26 26
Direct
0.000 0.000 0.000
0.000 0.000 0.077
0.000 0.000 0.192
0.000 0.000 0.308
0.000 0.000 0.423
0.000 0.000 0.538
0.000 0.000 0.654
0.000 0.000 0.731
0.000 0.000 0.846
0.333 0.667 0.115
0.333 0.667 0.231
0.333 0.667 0.346
0.333 0.667 0.462
0.333 0.667 0.577
0.333 0.667 0.692
0.333 0.667 0.808
0.333 0.667 0.885
0.333 0.667 0.962
0.667 0.333 0.038
0.667 0.333 0.154
0.667 0.333 0.269
0.667 0.333 0.385
0.667 0.333 0.500
0.667 0.333 0.615
0.667 0.333 0.769
0.667 0.333 0.923
0.000 0.000 0.029
0.000 0.000 0.106
0.000 0.000 0.221
0.000 0.000 0.337
0.000 0.000 0.452
0.000 0.000 0.567
0.000 0.000 0.683
0.000 0.000 0.760
0.000 0.000 0.875
0.333 0.667 0.144
0.333 0.667 0.260
0.333 0.667 0.375
0.333 0.667 0.490
0.333 0.667 0.606
0.333 0.667 0.721
0.333 0.667 0.837
0.333 0.667 0.913
0.333 0.667 0.990
0.667 0.333 0.067
0.667 0.333 0.183
0.667 0.333 0.298
0.667 0.333 0.413
0.667 0.333 0.529
0.667 0.333 0.644
0.667 0.333 0.798
0.667 0.333 0.952
```